[1]
Structure and simulated PXRD pattern of Pm3Dy6Sc (a DFT-relaxed cell (GGA-PBE, Alexandria); copper Kα).

Atomic structure:
Lattice parameters (Å, degrees): 9.8267 9.8267 11.5340 90.00 90.00 120.00
Space group R3 (No. 146, hexagonal axes)
Symmetry-distinct sites (fractional):
Pm1 0.0000 0.0000 0.0000 x3
Pm2 0.0000 0.0000 0.2536 x3
Pm3 0.0000 0.0000 0.5079 x3
Dy1 0.0031 0.3407 0.3382 x9
Dy2 0.0076 0.6711 0.5037 x9
Sc1 0.0000 0.0000 0.7538 x3

Peak list (10 most intense, 10° ≤ 2θ ≤ 90°, most intense first)
two_theta, d/Å, I (rel.), h k l
31.54, 2.837, 100.0, 3 0 0
29.50, 3.028, 80.7, 2 -1 3
54.91, 1.672, 28.0, 5 -1 3
43.73, 2.070, 27.5, 2 2 3
57.95, 1.591, 19.3, 3 0 6
56.16, 1.638, 19.2, 3 3 0
65.85, 1.418, 11.8, 6 0 0
73.77, 1.284, 11.4, 5 2 3
42.08, 2.147, 10.4, 2 1 4
32.79, 2.731, 10.3, 1 0 4



[2]
Structure and simulated PXRD pattern of Ca4PuTe5 (a DFT-relaxed cell (GGA-PBE, Alexandria); copper Kα).

Atomic structure:
Lattice parameters (Å, degrees): 4.501 4.501 32.004 90.00 90.00 90.00
Space group I4/mmm (No. 139)
Symmetry-distinct sites (fractional):
Ca1 0.000 0.000 0.100 x4
Ca2 0.000 0.000 0.300 x4
Pu1 0.000 0.000 0.500 x2
Te1 0.000 0.000 0.000 x2
Te2 0.000 0.000 0.200 x4
Te3 0.000 0.000 0.400 x4

Peak list (10 most intense, 10° ≤ 2θ ≤ 90°, most intense first)
two_theta, d/Å, I (rel.), h k l
28.04, 3.183, 100.0, 1 1 0
39.95, 2.257, 76.5, 1 1 10
27.87, 3.201, 57.6, 0 0 10
49.51, 1.841, 43.9, 2 0 10
40.07, 2.250, 37.9, 2 0 0
72.71, 1.301, 25.4, 3 1 10
65.51, 1.425, 18.1, 2 2 10
65.26, 1.430, 17.6, 1 1 20
65.59, 1.423, 17.3, 3 1 0
19.92, 4.457, 15.0, 1 0 1



[3]
Structure and simulated PXRD pattern of YbGa6Fe6 (a DFT-relaxed cell (GGA-PBE, Alexandria); copper Kα).

Atomic structure:
Lattice parameters (Å, degrees): 5.021 8.495 8.646 90.00 90.00 90.00
Space group Immm (No. 71)
Symmetry-distinct sites (fractional):
Yb1 0.000 0.000 0.000 x2
Ga1 0.000 0.000 0.343 x4
Ga2 0.000 0.330 0.000 x4
Ga3 0.000 0.500 0.319 x4
Fe1 0.000 0.255 0.500 x4
Fe2 0.250 0.250 0.250 x8

Peak list (10 most intense, 10° ≤ 2θ ≤ 90°, most intense first)
two_theta, d/Å, I (rel.), h k l
41.94, 2.154, 100.0, 1 2 3
41.79, 2.161, 82.9, 0 0 4
35.93, 2.499, 74.4, 1 0 3
41.60, 2.171, 55.7, 2 0 2
42.57, 2.124, 55.4, 0 4 0
42.18, 2.142, 54.2, 1 3 2
77.44, 1.232, 49.4, 2 6 0
47.01, 1.933, 48.6, 2 2 2
35.77, 2.510, 38.9, 2 0 0
36.43, 2.467, 32.9, 1 3 0



[4]
Structure and simulated PXRD pattern of NaHo9Si6O26 (a DFT-relaxed cell (GGA-PBE, Alexandria); copper Kα).

Atomic structure:
Lattice parameters (Å, degrees): 9.4143 9.4143 6.7652 90.00 90.00 120.00
Space group P3 (No. 143)
Symmetry-distinct sites (fractional):
Na1 0.0000 0.0000 0.0000 x1
Ho1 0.0000 0.0000 0.4918 x1
Ho2 0.0989 0.4298 0.2437 x3
Ho3 0.1018 0.6702 0.7459 x3
Ho4 0.6667 0.3333 0.4981 x1
Ho5 0.6667 0.3333 0.9943 x1
Si1 0.3046 0.0403 0.7446 x3
Si2 0.3598 0.2962 0.2491 x3
O1 0.0239 0.8367 0.2591 x3
O2 0.0859 0.3343 0.5546 x3
O3 0.0868 0.3392 0.9320 x3
O4 0.2082 0.1433 0.7281 x3
O5 0.3333 0.6667 0.2449 x1
O6 0.3333 0.6667 0.7407 x1
O7 0.4254 0.4177 0.0540 x3
O8 0.4352 0.4219 0.4399 x3
O9 0.4630 0.1960 0.2445 x3
O10 0.5036 0.1655 0.7477 x3

Peak list (10 most intense, 10° ≤ 2θ ≤ 90°, most intense first)
two_theta, d/Å, I (rel.), h k l
31.91, 2.804, 100.0, 3 -1 1
32.60, 2.747, 42.7, 2 -1 2
28.57, 3.124, 37.4, 1 0 2
28.98, 3.082, 36.6, 1 2 0
23.02, 3.864, 33.1, 1 1 1
50.13, 1.820, 32.0, 1 2 3
21.80, 4.077, 29.6, 2 0 0
52.41, 1.746, 27.9, 4 0 2
47.04, 1.932, 26.4, 4 -2 2
32.96, 2.718, 23.2, 3 0 0



[5]
Structure and simulated PXRD pattern of RePSeCl2 (a DFT-relaxed cell (GGA-PBE, Alexandria); copper Kα).

Atomic structure:
Lattice parameters (Å, degrees): 4.652 4.652 4.794 90.00 90.00 90.00
Space group P4/mmm (No. 123)
Symmetry-distinct sites (fractional):
Re1 0.000 0.000 0.000 x1
P1 0.000 0.000 0.500 x1
Se1 0.500 0.500 0.500 x1
Cl1 0.000 0.500 0.000 x2

Peak list (10 most intense, 10° ≤ 2θ ≤ 90°, most intense first)
two_theta, d/Å, I (rel.), h k l
26.70, 3.339, 100.0, 1 0 1
38.71, 2.326, 46.2, 2 0 0
27.11, 3.290, 43.8, 1 1 0
47.65, 1.909, 42.5, 2 1 1
19.08, 4.652, 38.3, 1 0 0
55.01, 1.669, 32.3, 2 0 2
37.52, 2.397, 25.3, 0 0 2
18.51, 4.794, 24.0, 0 0 1
46.90, 1.937, 20.8, 1 1 2
69.28, 1.356, 16.0, 2 2 2



[6]
Structure and simulated PXRD pattern of Na3Zr2MnTe6 (a DFT-relaxed cell (GGA-PBE, Alexandria); copper Kα).

Atomic structure:
Lattice parameters (Å, degrees): 7.240 12.531 7.989 90.00 107.60 90.00
Space group C2/m (No. 12)
Symmetry-distinct sites (fractional):
Na1 0.000 0.000 0.000 x2
Na2 0.000 0.330 0.000 x4
Zr1 0.000 0.165 0.500 x4
Mn1 0.000 0.500 0.500 x2
Te1 0.237 0.335 0.719 x8
Te2 0.245 0.000 0.722 x4

Peak list (10 most intense, 10° ≤ 2θ ≤ 90°, most intense first)
two_theta, d/Å, I (rel.), h k l
29.22, 3.057, 100.0, 1 3 1
40.23, 2.242, 36.2, 1 3 -3
43.31, 2.089, 35.0, 0 6 0
11.62, 7.615, 26.1, 0 0 1
25.83, 3.450, 22.2, 1 3 -1
53.10, 1.725, 18.2, 2 6 -2
70.84, 1.330, 14.8, 5 3 -3
66.44, 1.407, 12.4, 3 3 -5
37.10, 2.424, 11.5, 1 3 2
60.58, 1.528, 10.5, 4 0 -4



[7]
Structure and simulated PXRD pattern of Pr3ErMg3 (a DFT-relaxed cell (GGA-PBE, Alexandria); copper Kα).

Atomic structure:
Lattice parameters (Å, degrees): 10.862 11.387 7.164 90.00 90.00 90.00
Space group Cmmm (No. 65)
Symmetry-distinct sites (fractional):
Pr1 0.000 0.000 0.246 x4
Pr2 0.250 0.250 0.254 x8
Er1 0.189 0.500 0.000 x4
Mg1 0.000 0.259 0.000 x4
Mg2 0.000 0.321 0.500 x4
Mg3 0.219 0.500 0.500 x4

Peak list (10 most intense, 10° ≤ 2θ ≤ 90°, most intense first)
two_theta, d/Å, I (rel.), h k l
33.86, 2.647, 100.0, 2 2 2
31.42, 2.847, 32.1, 0 4 0
25.83, 3.449, 28.7, 3 1 0
27.36, 3.259, 22.2, 1 1 2
22.63, 3.930, 21.0, 2 2 0
16.32, 5.431, 20.7, 2 0 0
53.13, 1.724, 19.1, 6 2 0
57.52, 1.602, 18.9, 2 6 2
32.99, 2.715, 17.4, 4 0 0
29.46, 3.032, 15.8, 0 2 2



[8]
Structure and simulated PXRD pattern of KTlSb2 (a DFT-relaxed cell (GGA-PBE, Alexandria); copper Kα).

Atomic structure:
Lattice parameters (Å, degrees): 11.978 4.210 6.271 90.00 108.47 90.00
Space group C2/m (No. 12)
Symmetry-distinct sites (fractional):
K1 0.000 0.000 0.000 x2
Tl1 0.000 0.500 0.500 x2
Sb1 0.248 0.000 0.657 x4

Peak list (10 most intense, 10° ≤ 2θ ≤ 90°, most intense first)
two_theta, d/Å, I (rel.), h k l
28.48, 3.134, 100.0, 1 1 1
14.89, 5.948, 98.6, 0 0 1
31.80, 2.814, 87.4, 3 1 -1
31.50, 2.840, 45.9, 4 0 0
38.51, 2.338, 33.3, 3 1 -2
39.91, 2.259, 30.5, 1 1 2
29.15, 3.064, 28.1, 2 0 -2
22.52, 3.948, 21.4, 1 1 0
42.96, 2.105, 19.5, 0 2 0
54.24, 1.691, 19.5, 4 2 0



[9]
Structure and simulated PXRD pattern of SrErRe2N6 (a DFT-relaxed cell (GGA-PBE, Alexandria); copper Kα).

Atomic structure:
Lattice parameters (Å, degrees): 11.346 10.075 6.463 90.00 112.97 90.00
Space group C2/c (No. 15)
Symmetry-distinct sites (fractional):
Sr1 0.000 0.093 0.250 x4
Er1 0.000 0.296 0.750 x4
Re1 0.209 0.415 0.195 x8
N1 0.112 0.270 0.135 x8
N2 0.123 0.125 0.687 x8
N3 0.161 0.480 0.898 x8

Peak list (10 most intense, 10° ≤ 2θ ≤ 90°, most intense first)
two_theta, d/Å, I (rel.), h k l
25.06, 3.554, 100.0, 2 2 -1
30.04, 2.975, 42.6, 0 0 2
33.37, 2.685, 33.9, 1 3 1
24.55, 3.626, 30.7, 2 2 0
32.20, 2.780, 26.5, 2 2 1
48.42, 1.880, 25.6, 5 3 -1
35.82, 2.507, 23.5, 4 0 -2
27.09, 3.291, 22.6, 3 1 0
45.82, 1.980, 21.3, 2 2 -3
16.51, 5.368, 18.4, 1 1 -1



[10]
Structure and simulated PXRD pattern of La2Nd6Sm5 (a DFT-relaxed cell (GGA-PBE, Alexandria); copper Kα).

Atomic structure:
Lattice parameters (Å, degrees): 11.994 20.915 3.685 90.00 90.00 90.00
Space group Pbam (No. 55)
Symmetry-distinct sites (fractional):
La1 0.172 0.218 0.000 x4
Nd1 0.061 0.924 0.000 x4
Nd2 0.077 0.636 0.000 x4
Nd3 0.181 0.374 0.500 x4
Sm1 0.000 0.500 0.500 x2
Sm2 0.088 0.780 0.500 x4
Sm3 0.200 0.056 0.500 x4

Peak list (10 most intense, 10° ≤ 2θ ≤ 90°, most intense first)
two_theta, d/Å, I (rel.), h k l
31.24, 2.863, 100.0, 2 3 1
30.86, 2.897, 85.2, 1 7 0
30.11, 2.968, 63.3, 4 1 0
30.60, 2.922, 48.5, 1 4 1
33.29, 2.692, 44.9, 2 4 1
34.13, 2.627, 29.8, 3 6 0
35.54, 2.526, 28.6, 3 3 1
59.43, 1.555, 24.2, 1 7 2
26.66, 3.343, 23.4, 1 6 0
49.46, 1.843, 22.6, 0 0 2



[11]
Structure and simulated PXRD pattern of Ti5S8 (a DFT-relaxed cell (GGA-PBE, Alexandria); copper Kα).

Atomic structure:
Lattice parameters (Å, degrees): 24.939 3.422 5.930 90.00 102.82 90.00
Space group Cm (No. 8)
Symmetry-distinct sites (fractional):
Ti1 0.000 0.000 0.000 x2
Ti2 0.000 0.500 0.486 x2
Ti3 0.129 0.000 0.125 x2
Ti4 0.240 0.500 0.074 x2
Ti5 0.243 0.000 0.581 x2
S1 0.062 0.000 0.385 x2
S2 0.063 0.500 0.887 x2
S3 0.180 0.000 0.838 x2
S4 0.180 0.500 0.358 x2
S5 0.298 0.000 0.292 x2
S6 0.300 0.500 0.796 x2
S7 0.442 0.000 0.106 x2
S8 0.444 0.500 0.609 x2

Peak list (10 most intense, 10° ≤ 2θ ≤ 90°, most intense first)
two_theta, d/Å, I (rel.), h k l
14.57, 6.079, 100.0, 4 0 0
37.44, 2.402, 54.4, 5 1 1
53.54, 1.712, 51.1, 3 1 -3
33.53, 2.673, 45.4, 3 1 1
37.75, 2.383, 45.0, 7 1 -1
42.42, 2.131, 29.2, 7 1 1
33.75, 2.656, 27.9, 5 1 -1
53.55, 1.711, 25.8, 0 2 0
48.62, 1.873, 25.7, 11 1 -1
37.89, 2.374, 25.2, 8 0 -2



[12]
Structure and simulated PXRD pattern of BeOsAu (a DFT-relaxed cell (GGA-PBE, Alexandria); copper Kα).

Atomic structure:
Lattice parameters (Å, degrees): 2.7514 2.7514 6.3506 90.00 90.00 120.00
Space group P3m1 (No. 156)
Symmetry-distinct sites (fractional):
Be1 0.0000 0.0000 0.0000 x1
Os1 0.6667 0.3333 0.2817 x1
Au1 0.3333 0.6667 0.6851 x1

Peak list (10 most intense, 10° ≤ 2θ ≤ 90°, most intense first)
two_theta, d/Å, I (rel.), h k l
40.43, 2.231, 100.0, 1 0 1
28.10, 3.175, 39.5, 0 0 2
47.72, 1.906, 37.5, 0 1 2
13.94, 6.351, 23.7, 0 0 1
58.31, 1.583, 20.9, 1 0 3
37.75, 2.383, 20.0, 1 0 0
71.39, 1.321, 18.5, 0 1 4
68.17, 1.376, 15.8, 1 1 0
75.28, 1.262, 15.2, 1 1 2
82.35, 1.171, 13.3, 0 2 1



Which formula does entry 3 have?
YbGa6Fe6